The following is a theoretical powder XRD pattern of Dy5Sn18Rh6. It was derived from a PBE-relaxed structure, using Cu Kα X-rays.
Kinematic intensities with the Lorentz-polarization factor, no thermal factor.

Crystal structure
```
data_Dy5Sn18Rh6
_chemical_formula_sum 'Dy20 Sn72 Rh24'
_cell_length_a 13.9955
_cell_length_b 13.9955
_cell_length_c 13.9955
_cell_angle_alpha 90.00
_cell_angle_beta 90.00
_cell_angle_gamma 90.00
_symmetry_space_group_name_H-M 'F -4 3 m'
_symmetry_Int_Tables_number 216
_symmetry_space_group_name_Hall 'F -4 2 3'
loop_
_atom_site_label
_atom_site_fract_x
_atom_site_fract_y
_atom_site_fract_z
Dy1 0.0000 0.0000 0.0000
Dy2 0.1303 0.1303 0.3697
Sn1 0.0103 0.1748 0.8252
Sn2 0.0867 0.0867 0.5867
Sn3 0.2500 0.2500 0.2500
Sn4 0.2500 0.2500 0.7500
Rh1 0.0000 0.0000 0.2553
```

Most intense lines, 5 to 70 degrees two-theta, in order of falling intensity:
- (3 3 3), 33.3°, rel. 100
- (4 4 0), 36.3°, rel. 40
- (6 2 2), 42.9°, rel. 33
- (6 6 0), 55.7°, rel. 30
- (8 4 4), 65.3°, rel. 21
- (4 2 2), 31.3°, rel. 18
- (6 0 0), 38.6°, rel. 18
- (5 3 1), 38.0°, rel. 17
- (9 3 3), 66.5°, rel. 14
- (5 5 5), 57.0°, rel. 9


The following is a theoretical powder XRD pattern of Na3MgNp3N8. It was derived from a PBE-relaxed structure, using Cu Kα X-rays.
Kinematic intensities with the Lorentz-polarization factor, no thermal factor.

Crystal structure
```
data_Na3MgNp3N8
_chemical_formula_sum 'Na9 Mg3 Np9 N24'
_cell_length_a 6.7732
_cell_length_b 6.7732
_cell_length_c 16.8967
_cell_angle_alpha 90.00
_cell_angle_beta 90.00
_cell_angle_gamma 120.00
_symmetry_space_group_name_H-M 'R -3 m'
_symmetry_Int_Tables_number 166
_symmetry_space_group_name_Hall '-R 3 2"'
loop_
_atom_site_label
_atom_site_fract_x
_atom_site_fract_y
_atom_site_fract_z
Na1 0.0000 0.5000 0.0000
Mg1 0.0000 0.0000 0.5000
Np1 0.0000 0.5000 0.5000
N1 0.0000 0.0000 0.2302
N2 0.0229 0.5114 0.7765
```

Most intense lines, 5 to 70 degrees two-theta, in order of falling intensity:
- (0 0 3), 15.7°, rel. 100
- (0 2 4), 37.3°, rel. 58
- (2 0 2), 32.3°, rel. 52
- (0 2 1), 30.9°, rel. 48
- (0 1 2), 18.4°, rel. 23
- (2 2 3), 56.8°, rel. 23
- (0 0 6), 31.8°, rel. 20
- (1 0 1), 16.0°, rel. 20
- (2 2 0), 54.2°, rel. 20
- (2 0 5), 40.7°, rel. 20